Simulated powder X-ray diffraction pattern of Ta2SnBiPt for Cu Kα X-rays, from a PBE-relaxed structure.
No peak broadening, texture or thermal motion is included.

Largest 8 diffraction maxima, in order of rising 2θ, 10 to 90 degrees two-theta:
- 2θ = 29.8°, I 100
- 2θ = 32.7°, I 38
- 2θ = 35.5°, I 61
- 2θ = 49.0°, I 50
- 2θ = 51.0°, I 22
- 2θ = 60.2°, I 28
- 2θ = 61.9°, I 25
- 2θ = 79.6°, I 25

Structural model:
```
data_Ta2SnBiPt
_symmetry_space_group_name_H-M 'P 4/m m m'
_symmetry_Int_Tables_number 123
_symmetry_space_group_name_Hall '-P 4 2'
_cell_length_a 5.0632
_cell_length_b 5.0632
_cell_length_c 5.4838
_cell_angle_alpha 90.00
_cell_angle_beta 90.00
_cell_angle_gamma 90.00
loop_
_atom_site_label
_atom_site_type_symbol
_atom_site_fract_x
_atom_site_fract_y
_atom_site_fract_z
Ta1 Ta 0.0000 0.5000 0.0000
Sn1 Sn 0.0000 0.0000 0.0000
Bi1 Bi 0.0000 0.0000 0.5000
Pt1 Pt 0.5000 0.5000 0.5000
```

Simulated powder X-ray diffraction pattern of Sr2BiPt2 for Cu Kα X-rays, from a PBE-relaxed structure.
No peak broadening, texture or thermal motion is included.

Largest 8 diffraction maxima, in order of rising 2θ, 10 to 90 degrees two-theta:
- 2θ = 17.2°, I 76
- 2θ = 21.3°, I 59
- 2θ = 33.1°, I 60
- 2θ = 34.3°, I 54
- 2θ = 34.4°, I 100
- 2θ = 35.2°, I 42
- 2θ = 36.5°, I 46
- 2θ = 37.8°, I 94

Structural model:
```
data_Sr2BiPt2
_symmetry_space_group_name_H-M 'C 1 2/c 1'
_symmetry_Int_Tables_number 15
_cell_length_a 10.5072
_cell_length_b 5.9667
_cell_length_c 8.7016
_cell_angle_alpha 90.00
_cell_angle_beta 104.17
_cell_angle_gamma 90.00
loop_
_symmetry_equiv_pos_as_xyz
'x,y,z'
'-x,-y,-z'
'-x,y,-z+1/2'
'x,-y,z+1/2'
'x+1/2,y+1/2,z'
'-x+1/2,-y+1/2,-z'
'-x+1/2,y+1/2,-z+1/2'
'x+1/2,-y+1/2,z+1/2'
loop_
_atom_site_label
_atom_site_type_symbol
_atom_site_fract_x
_atom_site_fract_y
_atom_site_fract_z
Sr1 Sr 0.1488 0.1502 0.1499
Bi1 Bi 0.0000 0.3409 0.7500
Pt1 Pt 0.1399 0.3666 0.4879
```

Simulated powder X-ray diffraction pattern of Bi4TePt2 for Cu Kα X-rays, from a PBE-relaxed structure.
No peak broadening, texture or thermal motion is included.

Largest 8 diffraction maxima, in order of rising 2θ, 10 to 90 degrees two-theta:
- 2θ = 12.4°, I 100
- 2θ = 28.8°, I 36
- 2θ = 29.0°, I 72
- 2θ = 37.7°, I 37
- 2θ = 37.9°, I 40
- 2θ = 38.0°, I 36
- 2θ = 41.3°, I 71
- 2θ = 41.5°, I 36

Structural model:
```
data_Bi4TePt2
_symmetry_space_group_name_H-M 'F d d 2'
_symmetry_Int_Tables_number 43
_symmetry_space_group_name_Hall 'F 2 -2d'
_cell_length_a 12.3056
_cell_length_b 12.3374
_cell_length_c 12.3933
_cell_angle_alpha 90.00
_cell_angle_beta 90.00
_cell_angle_gamma 90.00
loop_
_atom_site_label
_atom_site_type_symbol
_atom_site_fract_x
_atom_site_fract_y
_atom_site_fract_z
Bi1 Bi 0.1004 0.3999 0.0000
Bi2 Bi 0.1007 0.0998 0.3013
Te1 Te 0.0000 0.0000 0.9002
Pt1 Pt 0.1249 0.1252 0.5257
```